The following is a simulated XRD peak list of MnTlPtO4. It was derived from a structure optimized by DFT (PBE+U), using Cu Kα (λ = 1.5418 Å).
No peak broadening, texture or thermal motion is included.

Crystal structure
```
MnTlPtO4
1.0
-3.0494 3.2189 4.8970
3.0494 -3.2189 4.8970
3.0494 3.2189 -4.8970
Mn Tl Pt O
2 2 2 8
Cartesian
0.0000 1.6095 2.0544
3.0494 1.6095 2.8427
3.0494 0.0000 0.0000
0.0000 0.0000 4.8970
1.5247 1.6095 -2.4485
1.5247 -1.6095 2.4485
3.0494 2.8573 -2.9483
3.0494 -0.3617 2.9483
1.7562 1.6095 1.0843
4.3425 1.6095 1.0843
-1.2931 1.6095 3.8127
1.2931 1.6095 3.8127
0.0000 3.5806 1.9487
0.0000 0.3617 7.8454
```

Principal peaks in the range 2θ from 10° to 90°, by angle:
Position (°2θ)	Rel. int.
16.48	48
17.13	94
31.07	48
32.76	48
33.31	100
33.79	52
34.65	50
40.76	51